Calculated X-ray diffraction stick pattern
Compound: Na2LiMnPCO7
Radiation: Cu Kα (λ = 1.5418 Å)
Structure: a GGA+U-relaxed structure

Structural model:
```
Na2LiMnPCO7
1.0
5.177 0.000 0.000
-0.015 6.804 0.000
-0.243 -0.374 8.891
Na Li Mn P C O
4 2 2 2 2 14
direct
0.000 0.000 0.000 Na
0.003 0.510 0.999 Na
0.495 0.984 0.497 Na
0.994 0.270 0.339 Na
0.515 0.736 0.148 Li
0.522 0.451 0.543 Li
0.524 0.254 0.897 Mn
0.964 0.741 0.613 Mn
0.028 0.248 0.666 P
0.455 0.748 0.839 P
0.034 0.751 0.298 C
0.482 0.264 0.201 C
0.136 0.763 0.167 O
0.154 0.746 0.824 O
0.187 0.732 0.415 O
0.277 0.262 0.113 O
0.330 0.266 0.678 O
0.461 0.266 0.347 O
0.543 0.576 0.940 O
0.546 0.939 0.927 O
0.565 0.728 0.678 O
0.708 0.264 0.140 O
0.785 0.758 0.312 O
0.914 0.422 0.578 O
0.924 0.248 0.828 O
0.951 0.057 0.574 O
```

Top 12 peaks for 2θ = 15–90°, by angle:
d = 4.527 Å, rel. 23, (1 0 -1)
d = 4.420 Å, rel. 28, (1 0 1)
d = 3.419 Å, rel. 33, (1 0 -2)
d = 3.399 Å, rel. 100, (0 2 0)
d = 2.757 Å, rel. 30, (0 2 -2)
d = 2.743 Å, rel. 19, (1 2 -1)
d = 2.647 Å, rel. 24, (0 2 2)
d = 2.603 Å, rel. 31, (1 0 -3)
d = 2.588 Å, rel. 54, (2 0 0)
d = 2.503 Å, rel. 21, (2 0 -1)
d = 2.411 Å, rel. 20, (1 -1 3)
d = 1.700 Å, rel. 27, (0 4 0)